Simulated PXRD pattern of Mg14BW for copper Kα, from the PBE geometry in the Materials Project.
Neutral-atom scattering factors, no anomalous dispersion.

Cell and atoms:
```
Mg14BW
1.0
6.180 0.000 0.000
-3.090 5.352 0.000
0.000 0.000 9.750
Mg B W
14 1 1
Direct
0.000 0.000 0.247
0.000 0.000 0.753
0.021 0.511 0.252
0.021 0.511 0.748
0.332 0.166 0.500
0.337 0.168 0.000
0.489 0.511 0.252
0.489 0.511 0.748
0.489 0.979 0.252
0.489 0.979 0.748
0.832 0.168 0.000
0.832 0.663 0.000
0.834 0.166 0.500
0.834 0.668 0.500
0.333 0.667 0.500
0.333 0.667 0.000
```

Main lines, in order of rising 2θ (10° ≤ 2θ ≤ 90°):
2theta, I_rel
16.56, 39
18.92, 74
30.34, 25
33.49, 29
36.88, 25
38.37, 100


Simulated PXRD pattern of LaNbTeO6 for copper Kα, from the PBE geometry in the Materials Project.
Neutral-atom scattering factors, no anomalous dispersion.

Cell and atoms:
```
LaNbTeO6
1.0
6.864 0.000 0.000
0.029 7.502 0.000
2.448 1.937 10.443
La Nb Te O
4 4 4 24
Direct
0.170 0.215 0.156
0.261 0.361 0.495
0.739 0.639 0.505
0.830 0.785 0.844
0.317 0.046 0.803
0.327 0.541 0.801
0.673 0.459 0.199
0.683 0.954 0.197
0.170 0.701 0.201
0.236 0.871 0.497
0.764 0.129 0.503
0.830 0.299 0.799
0.000 0.100 0.790
0.000 0.900 0.210
0.006 0.482 0.819
0.034 0.177 0.405
0.106 0.629 0.385
0.212 0.786 0.820
0.255 0.069 0.970
0.317 0.444 0.966
0.319 0.046 0.588
0.350 0.651 0.572
0.357 0.316 0.719
0.393 0.389 0.258
0.410 0.000 0.222
0.590 0.000 0.778
0.607 0.611 0.742
0.643 0.684 0.281
0.650 0.349 0.428
0.681 0.954 0.412
0.683 0.556 0.034
0.745 0.931 0.030
0.788 0.214 0.180
0.894 0.371 0.615
0.966 0.823 0.595
0.994 0.518 0.181
```

Main lines, in order of rising 2θ (10° ≤ 2θ ≤ 90°):
2theta, I_rel
25.59, 100
26.67, 56
28.74, 75
28.93, 73
29.87, 36
31.49, 77


Simulated PXRD pattern of Ta5N6 for copper Kα, from the PBE geometry in the Materials Project.
Neutral-atom scattering factors, no anomalous dispersion.

Cell and atoms:
```
Ta5N6
1.0
6.558 0.000 0.000
-3.279 5.679 0.000
0.000 0.000 6.550
Ta N
10 12
Direct
0.000 0.241 0.250
0.000 0.759 0.750
0.241 0.000 0.250
0.241 0.241 0.750
0.333 0.667 0.000
0.333 0.667 0.500
0.667 0.333 0.000
0.667 0.333 0.500
0.759 0.000 0.750
0.759 0.759 0.250
0.000 0.329 0.570
0.000 0.329 0.930
0.000 0.671 0.070
0.000 0.671 0.430
0.329 0.000 0.570
0.329 0.000 0.930
0.329 0.329 0.070
0.329 0.329 0.430
0.671 0.000 0.070
0.671 0.000 0.430
0.671 0.671 0.570
0.671 0.671 0.930
```

Main lines, in order of rising 2θ (10° ≤ 2θ ≤ 90°):
2theta, I_rel
30.49, 49
31.53, 100
38.87, 67
42.10, 32
44.41, 53
72.58, 40


Simulated PXRD pattern of SrCeMg6 for copper Kα, from the PBE geometry in the Materials Project.
Neutral-atom scattering factors, no anomalous dispersion.

Cell and atoms:
```
SrCeMg6
1.0
5.187 0.000 0.000
0.000 3.777 5.326
0.000 -3.777 5.326
Sr Ce Mg
1 1 6
Direct
0.000 0.000 0.000
0.000 0.519 0.519
0.000 0.017 0.486
0.000 0.486 0.017
0.500 0.310 0.310
0.500 0.319 0.809
0.500 0.788 0.788
0.500 0.809 0.319
```

Main lines, in order of rising 2θ (10° ≤ 2θ ≤ 90°):
2theta, I_rel
16.65, 30
17.10, 31
23.95, 29
28.98, 23
33.84, 100
34.59, 26


Simulated PXRD pattern of Li2Ti3O7 for copper Kα, from the PBE geometry in the Materials Project.
Neutral-atom scattering factors, no anomalous dispersion.

Cell and atoms:
```
Li2Ti3O7
1.0
5.144 -2.469 0.000
5.144 2.469 0.000
-0.358 0.000 10.565
Li Ti O
4 6 14
Direct
0.027 0.675 0.817
0.325 0.973 0.683
0.675 0.027 0.317
0.973 0.325 0.183
0.000 0.500 0.500
0.262 0.618 0.104
0.382 0.738 0.396
0.500 0.000 0.000
0.618 0.262 0.604
0.738 0.382 0.896
0.094 0.171 0.982
0.127 0.873 0.250
0.171 0.094 0.482
0.253 0.384 0.662
0.366 0.423 0.427
0.384 0.253 0.162
0.423 0.366 0.927
0.577 0.634 0.073
0.616 0.747 0.838
0.634 0.577 0.573
0.747 0.616 0.338
0.829 0.906 0.518
0.873 0.127 0.750
0.906 0.829 0.018
```

Main lines, in order of rising 2θ (10° ≤ 2θ ≤ 90°):
2theta, I_rel
16.78, 53
21.78, 43
23.74, 25
32.67, 100
39.94, 21
54.78, 16


Simulated PXRD pattern of YAl2Pd5 for copper Kα, from the PBE geometry in the Materials Project.
Neutral-atom scattering factors, no anomalous dispersion.

Cell and atoms:
```
YAl2Pd5
1.0
-2.077 2.077 7.496
2.077 -2.077 7.496
2.077 2.077 -7.496
Y Al Pd
1 2 5
Direct
0.000 0.000 0.000
0.253 0.253 0.000
0.747 0.747 0.000
0.145 0.645 0.500
0.355 0.855 0.500
0.500 0.500 0.000
0.645 0.145 0.500
0.855 0.355 0.500
```

Main lines, in order of rising 2θ (10° ≤ 2θ ≤ 90°):
2theta, I_rel
32.74, 25
35.94, 15
38.95, 100
43.57, 42
57.71, 15
76.90, 26


Simulated PXRD pattern of YIn for copper Kα, from the PBE geometry in the Materials Project.
Neutral-atom scattering factors, no anomalous dispersion.

Cell and atoms:
```
YIn
1.0
3.774 0.000 0.000
0.000 3.774 0.000
0.000 0.000 3.774
Y In
1 1
Direct
0.000 0.000 0.000
0.500 0.500 0.500
```

Main lines, in order of rising 2θ (10° ≤ 2θ ≤ 90°):
2theta, I_rel
23.57, 2
33.58, 100
48.22, 18
60.04, 36
70.58, 11
80.47, 15